Theoretical X-ray diffraction stick pattern of Cs2ReF6 for Cu Kα (weighted mean of Kα1 and Kα2), from DFT lattice parameters and positions (GGA-PBE).

Atomic structure:
a = 6.3312 Å, b = 6.3312 Å, c = 5.1074 Å
α = 90.00°, β = 90.00°, γ = 120.00°
Fractional coordinates of all 9 atoms:
Cs: 0.3333 0.6667 0.3110
Cs: 0.6667 0.3333 0.6890
Re: 0.0000 0.0000 0.0000
F: 0.1529 0.3059 0.7886
F: 0.1529 0.8471 0.7886
F: 0.3059 0.1529 0.2114
F: 0.6941 0.8471 0.7886
F: 0.8471 0.1529 0.2114
F: 0.8471 0.6941 0.2114

Largest 10 diffraction maxima, by angle, 2θ = 10–90°:
- hkl 0 1 1, 23.8°, d = 3.737 Å, rel. 100.0
- hkl 1 1 0, 28.2°, d = 3.166 Å, rel. 59.6
- hkl 2 0 1, 37.2°, d = 2.416 Å, rel. 48.7
- hkl 1 0 2, 38.9°, d = 2.315 Å, rel. 27.8
- hkl 1 2 1, 47.3°, d = 1.920 Å, rel. 28.5
- hkl 0 2 2, 48.7°, d = 1.869 Å, rel. 18.9
- hkl 2 1 2, 57.3°, d = 1.609 Å, rel. 21.7
- hkl 2 2 0, 58.3°, d = 1.583 Å, rel. 13.4
- hkl 1 1 3, 61.9°, d = 1.499 Å, rel. 15.3
- hkl 3 1 1, 63.9°, d = 1.457 Å, rel. 13.5